Calculated X-ray diffraction stick pattern
Compound: BaNb2V2O11
Radiation: Cu Ka
Structure: a cell relaxed with PBE+U
No peak broadening, texture or thermal motion is included.

Crystal structure
```
data_BaNb2V2O11
_chemical_formula_sum 'Ba3 Nb6 V6 O33'
_cell_length_a 5.6485
_cell_length_b 5.6485
_cell_length_c 28.6933
_cell_angle_alpha 90.00
_cell_angle_beta 90.00
_cell_angle_gamma 120.00
_space_group_name_H-M_alt 'R -3 m'
_space_group_IT_number 166
_space_group_name_Hall '-R 3 2"'
loop_
_atom_site_label
_atom_site_type_symbol
_atom_site_fract_x
_atom_site_fract_y
_atom_site_fract_z
Ba1 Ba 0.0000 0.0000 0.0000
Nb1 Nb 0.0000 0.0000 0.1306
V1 V 0.0000 0.0000 0.3985
O1 O 0.0000 0.0000 0.3401
O2 O 0.0000 0.5000 0.5000
O3 O 0.0113 0.5057 0.7499
```

Largest 8 diffraction maxima, in order of rising 2θ, 10° ≤ 2θ ≤ 80°:
2θ/deg	d/Å	I/Imax
18.40	4.822	77.6
19.17	4.630	47.6
21.99	4.041	76.5
28.41	3.142	76.0
30.92	2.892	56.3
31.68	2.824	100.0
44.85	2.021	53.1
58.25	1.584	40.8

Calculated X-ray diffraction stick pattern
Compound: Ba4Nb2WO12
Radiation: Cu Ka
Structure: a cell relaxed with PBE+U
No peak broadening, texture or thermal motion is included.

Crystal structure
```
data_Ba4Nb2WO12
_chemical_formula_sum 'Ba12 Nb6 W3 O36'
_cell_length_a 5.8647
_cell_length_b 5.8647
_cell_length_c 28.6455
_cell_angle_alpha 90.00
_cell_angle_beta 90.00
_cell_angle_gamma 120.00
_space_group_name_H-M_alt 'R 3 m'
_space_group_IT_number 160
_space_group_name_Hall 'R 3 -2"'
loop_
_atom_site_label
_atom_site_type_symbol
_atom_site_fract_x
_atom_site_fract_y
_atom_site_fract_z
Ba1 Ba 0.0000 0.0000 0.0000
Ba2 Ba 0.0000 0.0000 0.1534
Ba3 Ba 0.0000 0.0000 0.4250
Ba4 Ba 0.0000 0.0000 0.5781
Nb1 Nb 0.0000 0.0000 0.2881
Nb2 Nb 0.0000 0.0000 0.8658
W1 W 0.0000 0.0000 0.7096
O1 O 0.0155 0.5078 0.4089
O2 O 0.1692 0.3384 0.5027
O3 O 0.1696 0.3392 0.3313
O4 O 0.1699 0.3399 0.9180
```

Largest 8 diffraction maxima, in order of rising 2θ, 10° ≤ 2θ ≤ 80°:
2θ/deg	d/Å	I/Imax
28.00	3.187	100.0
30.48	2.932	81.7
41.87	2.158	50.7
47.93	1.898	19.8
52.66	1.738	33.8
54.18	1.693	16.6
63.44	1.466	15.8
66.84	1.400	17.7